Theoretical PXRD pattern of NpInFeO6 for a wavelength of 1.5418 Å, from a crystal structure in Alexandria, relaxed with PBE+U.
Peak positions follow from Bragg's law for the DFT cell and can differ from measured ones.

Atomic structure:
a b c (Å): 4.900 4.900 9.677
angles (deg): 90.00 90.00 90.00
Space group P4_2nm (No. 102)
Asymmetric unit:
Np  0.000  0.000  0.000 (multiplicity 2)
In  0.000  0.000  0.334 (multiplicity 2)
Fe  0.000  0.000  0.665 (multiplicity 2)
O  0.186  0.186  0.831 (multiplicity 4)
O  0.198  0.198  0.508 (multiplicity 4)
O  0.204  0.204  0.158 (multiplicity 4)

The 8 most intense peaks (15 to 90 degrees two-theta), sorted by position:
| 2θ/deg | d (Å) | Rel. int. |
| --- | --- | --- |
| 20.32 | 4.371 | 428 |
| 25.71 | 3.465 | 1000 |
| 33.25 | 2.694 | 820 |
| 36.68 | 2.450 | 247 |
| 50.34 | 1.813 | 672 |
| 52.85 | 1.732 | 165 |
| 59.68 | 1.549 | 161 |
| 63.89 | 1.457 | 197 |